Computed powder X-ray diffraction pattern
Compound: ReC5O5
Radiation: copper Kα
Structure: DFT lattice parameters and positions (PBE)
Neutral-atom scattering factors, no anomalous dispersion.

Structure:
```
ReC5O5
1.0
8.602 -3.413 0.000
8.602 3.413 0.000
-8.550 0.000 11.317
Re C O
4 20 20
direct
0.160 0.694 0.778 Re
0.306 0.840 0.722 Re
0.694 0.160 0.278 Re
0.840 0.306 0.222 Re
0.004 0.949 0.354 C
0.051 0.996 0.146 C
0.052 0.266 0.381 C
0.071 0.584 0.802 C
0.266 0.052 0.881 C
0.315 0.617 0.567 C
0.383 0.685 0.933 C
0.393 0.396 0.704 C
0.396 0.393 0.204 C
0.416 0.929 0.698 C
0.584 0.071 0.302 C
0.604 0.607 0.796 C
0.607 0.604 0.296 C
0.617 0.315 0.067 C
0.685 0.383 0.433 C
0.734 0.948 0.119 C
0.929 0.416 0.198 C
0.948 0.734 0.619 C
0.949 0.004 0.854 C
0.996 0.051 0.646 C
0.017 0.516 0.814 O
0.167 0.817 0.096 O
0.172 0.241 0.473 O
0.183 0.833 0.404 O
0.225 0.532 0.163 O
0.241 0.172 0.973 O
0.310 0.491 0.476 O
0.468 0.775 0.337 O
0.484 0.983 0.686 O
0.491 0.310 0.976 O
0.509 0.690 0.024 O
0.516 0.017 0.314 O
0.532 0.225 0.663 O
0.690 0.509 0.524 O
0.759 0.828 0.027 O
0.775 0.468 0.837 O
0.817 0.167 0.596 O
0.828 0.759 0.527 O
0.833 0.183 0.904 O
0.983 0.484 0.186 O
```

The 10 most intense peaks (10 to 90 degrees two-theta), by intensity:
| 2θ/deg | intensity |
| --- | --- |
| 14.51 | 100 |
| 18.26 | 87 |
| 15.66 | 59 |
| 12.91 | 59 |
| 31.02 | 47 |
| 32.22 | 45 |
| 26.10 | 33 |
| 30.59 | 33 |
| 41.84 | 29 |
| 29.35 | 27 |